# 1
This entry pairs a crystal structure of Pm6CuSn2 with its computed X-ray diffraction stick pattern. Radiation: a wavelength of 1.5418 Å. Structure: a cell relaxed with GGA-PBE.
No peak broadening, texture or thermal motion is included.

Largest 10 diffraction maxima, most intense first, 2θ = 10–90°:
2θ (°)  d/Å  I (rel.)
29.60  3.018  100
32.09  2.789  84
32.42  2.761  69
53.89  1.701  33
59.13  1.563  30
38.70  2.327  27
36.91  2.435  27
41.82  2.160  25
49.70  1.834  20
56.99  1.616  15

Structural model:
a b c (Å): 8.436 8.436 4.320
angles (deg): 90.00 90.00 120.00
Fractional positions:
Pm (0.000, 0.413, 0.000)
Pm (0.000, 0.756, 0.500)
Pm (0.244, 0.244, 0.500)
Pm (0.413, 0.000, 0.000)
Pm (0.587, 0.587, 0.000)
Pm (0.756, 0.000, 0.500)
Cu (0.000, 0.000, 0.000)
Sn (0.333, 0.667, 0.500)
Sn (0.667, 0.333, 0.500)



# 2
This entry pairs a crystal structure of K4DyNp3Te8 with its computed X-ray diffraction stick pattern. Radiation: a wavelength of 1.5418 Å. Structure: a cell relaxed with GGA-PBE.
No peak broadening, texture or thermal motion is included.

Largest 10 diffraction maxima, most intense first, 2θ = 10–90°:
2θ (°)  d/Å  I (rel.)
26.80  3.327  100
10.78  8.205  58
37.02  2.428  36
39.43  2.286  25
34.12  2.628  21
22.77  3.905  14
48.39  1.881  13
46.64  1.948  13
60.69  1.526  13
39.54  2.279  12

Structural model:
a b c (Å): 9.142 9.142 9.760
angles (deg): 118.00 118.00 59.81
Fractional positions:
K (0.000, 0.000, 0.000)
K (0.000, 0.500, 0.000)
K (0.500, 0.000, 0.000)
K (0.500, 0.500, 0.000)
Dy (0.000, 0.000, 0.500)
Np (0.000, 0.500, 0.500)
Np (0.500, 0.000, 0.500)
Np (0.500, 0.500, 0.500)
Te (0.234, 0.234, 0.709)
Te (0.234, 0.741, 0.711)
Te (0.259, 0.766, 0.289)
Te (0.262, 0.262, 0.290)
Te (0.738, 0.738, 0.710)
Te (0.741, 0.234, 0.711)
Te (0.766, 0.259, 0.289)
Te (0.766, 0.766, 0.291)



# 3
This entry pairs a crystal structure of KBa5Bi4 with its computed X-ray diffraction stick pattern. Radiation: a wavelength of 1.5418 Å. Structure: a cell relaxed with GGA-PBE.
No peak broadening, texture or thermal motion is included.

Largest 10 diffraction maxima, most intense first, 2θ = 10–90°:
2θ (°)  d/Å  I (rel.)
28.80  3.100  100
29.19  3.059  67
24.56  3.624  49
29.37  3.041  37
29.86  2.992  37
18.22  4.868  35
35.51  2.528  31
37.75  2.383  31
52.80  1.734  26
25.98  3.429  24

Structural model:
a b c (Å): 10.561 10.561 10.561
angles (deg): 153.92 110.96 75.17
Fractional positions:
K (0.000, 0.000, 0.000)
Ba (0.065, 0.351, 0.714)
Ba (0.364, 0.649, 0.714)
Ba (0.500, 0.500, 0.000)
Ba (0.636, 0.351, 0.286)
Ba (0.935, 0.649, 0.286)
Bi (0.245, 0.245, 0.000)
Bi (0.279, 0.000, 0.279)
Bi (0.721, 0.000, 0.721)
Bi (0.755, 0.755, 0.000)



# 4
This entry pairs a crystal structure of LiMg6BO7 with its computed X-ray diffraction stick pattern. Radiation: a wavelength of 1.5418 Å. Structure: a cell relaxed with GGA-PBE.
No peak broadening, texture or thermal motion is included.

Largest 10 diffraction maxima, most intense first, 2θ = 10–90°:
2θ (°)  d/Å  I (rel.)
43.38  2.086  100
62.28  1.491  45
42.41  2.131  42
63.01  1.475  35
78.93  1.213  20
10.38  8.525  17
32.11  2.788  14
37.06  2.426  14
31.48  2.842  12
30.30  2.950  11

Structural model:
a b c (Å): 4.172 4.172 8.525
angles (deg): 90.00 90.00 90.00
Fractional positions:
Li (0.000, 0.000, 0.000)
Mg (0.000, 0.000, 0.506)
Mg (0.000, 0.500, 0.229)
Mg (0.000, 0.500, 0.770)
Mg (0.500, 0.000, 0.229)
Mg (0.500, 0.000, 0.770)
Mg (0.500, 0.500, 0.493)
B (0.500, 0.500, 0.982)
O (0.000, 0.000, 0.262)
O (0.000, 0.000, 0.748)
O (0.000, 0.500, 0.002)
O (0.000, 0.500, 0.513)
O (0.500, 0.000, 0.002)
O (0.500, 0.000, 0.513)
O (0.500, 0.500, 0.813)



# 5
This entry pairs a crystal structure of Mn6Si7 with its computed X-ray diffraction stick pattern. Radiation: a wavelength of 1.5418 Å. Structure: a cell relaxed with GGA-PBE.
No peak broadening, texture or thermal motion is included.

Largest 10 diffraction maxima, most intense first, 2θ = 10–90°:
2θ (°)  d/Å  I (rel.)
37.43  2.403  100
44.01  2.057  99
43.67  2.073  81
79.83  1.201  29
47.20  1.926  25
83.13  1.162  24
72.09  1.310  21
45.56  1.991  20
51.43  1.777  20
47.67  1.908  18

Structural model:
a b c (Å): 8.434 8.434 8.434
angles (deg): 33.10 33.10 33.10
Fractional positions:
Mn (0.049, 0.049, 0.049)
Mn (0.161, 0.161, 0.161)
Mn (0.334, 0.334, 0.334)
Mn (0.666, 0.666, 0.666)
Mn (0.839, 0.839, 0.839)
Mn (0.951, 0.951, 0.951)
Si (0.078, 0.586, 0.586)
Si (0.414, 0.414, 0.922)
Si (0.414, 0.922, 0.414)
Si (0.500, 0.500, 0.500)
Si (0.586, 0.078, 0.586)
Si (0.586, 0.586, 0.078)
Si (0.922, 0.414, 0.414)



# 6
This entry pairs a crystal structure of Nd5Sm2YHo with its computed X-ray diffraction stick pattern. Radiation: a wavelength of 1.5418 Å. Structure: a cell relaxed with GGA-PBE.
No peak broadening, texture or thermal motion is included.

Largest 10 diffraction maxima, most intense first, 2θ = 10–90°:
2θ (°)  d/Å  I (rel.)
29.84  2.995  100
28.10  3.176  54
29.07  3.072  50
52.01  1.758  24
34.40  2.607  20
37.73  2.385  17
46.68  1.946  15
43.80  2.067  13
53.43  1.715  12
35.65  2.518  12

Structural model:
a b c (Å): 10.300 10.300 10.300
angles (deg): 130.11 130.11 73.23
Fractional positions:
Nd (0.000, 0.000, 0.000)
Nd (0.072, 0.572, 0.926)
Nd (0.145, 0.072, 0.500)
Nd (0.355, 0.855, 0.926)
Nd (0.428, 0.355, 0.500)
Nd (0.500, 0.500, 0.000)
Nd (0.572, 0.645, 0.500)
Nd (0.645, 0.145, 0.074)
Nd (0.855, 0.928, 0.500)
Nd (0.928, 0.428, 0.074)
Sm (0.120, 0.380, 0.500)
Sm (0.380, 0.880, 0.259)
Sm (0.620, 0.120, 0.741)
Sm (0.880, 0.620, 0.500)
Y (0.250, 0.250, 0.000)
Y (0.750, 0.750, 0.000)
Ho (0.250, 0.750, 0.500)
Ho (0.750, 0.250, 0.500)